Diffraction record for SrAc4Te5. The powder diffraction line list is computed, not measured: it uses a structure optimized by DFT (PBE) and Cu Kα, 1.54184 Å.
No peak broadening, texture or thermal motion is included.

Largest 10 diffraction maxima, sorted by position, 2θ = 10–90°:
hkl	Position (°2θ)	I (rel.)
0 1 5	23.00	86
1 0 10	26.62	1000
1 1 0	37.95	396
0 1 20	38.06	389
0 2 10	46.96	217
2 0 20	54.84	137
2 1 10	61.90	191
1 1 30	62.05	187
3 0 0	68.61	211
1 3 10	87.25	77

```
data_SrAc4Te5
_cell_length_a 4.7415
_cell_length_b 4.7415
_cell_length_c 57.8329
_cell_angle_alpha 90.00
_cell_angle_beta 90.00
_cell_angle_gamma 120.00
_symmetry_space_group_name_H-M 'R -3 m'
_symmetry_Int_Tables_number 166
_symmetry_space_group_name_Hall '-R 3 2"'
loop_
_atom_site_label
_atom_site_type_symbol
_atom_site_fract_x
_atom_site_fract_y
_atom_site_fract_z
Sr1 Sr 0.0000 0.0000 0.0000
Ac1 Ac 0.0000 0.0000 0.2004
Ac2 Ac 0.0000 0.0000 0.4013
Te1 Te 0.0000 0.0000 0.1003
Te2 Te 0.0000 0.0000 0.3002
Te3 Te 0.0000 0.0000 0.5000
```

***

Diffraction record for Pa5NiSe4. The powder diffraction line list is computed, not measured: it uses a structure optimized by DFT (PBE) and Cu Kα, 1.54184 Å.
No peak broadening, texture or thermal motion is included.

Largest 10 diffraction maxima, sorted by position, 2θ = 10–90°:
hkl	Position (°2θ)	I (rel.)
1 2 1	26.97	454
0 0 2	31.24	1000
3 1 2	44.76	736
1 2 3	53.03	212
2 4 2	55.59	254
5 0 3	71.85	85
6 2 2	73.98	198
3 1 4	74.11	114
1 7 2	82.48	148
2 4 4	82.59	83

```
data_Pa5NiSe4
_cell_length_a 9.062
_cell_length_b 9.062
_cell_length_c 5.719
_cell_angle_alpha 90.00
_cell_angle_beta 90.00
_cell_angle_gamma 90.00
_symmetry_space_group_name_H-M 'I 4/m'
_symmetry_Int_Tables_number 87
_symmetry_space_group_name_Hall '-I 4'
loop_
_atom_site_label
_atom_site_type_symbol
_atom_site_fract_x
_atom_site_fract_y
_atom_site_fract_z
Pa1 Pa 0.000 0.000 0.000
Pa2 Pa 0.099 0.717 0.500
Ni1 Ni 0.000 0.000 0.500
Se1 Se 0.092 0.694 0.000
```